For Ba2VZnO5, the PBE+U geometry in Alexandria gives the calculated X-ray diffraction stick pattern in this record (Cu Kα X-rays).
Neutral-atom scattering factors, no anomalous dispersion.

Largest 12 diffraction maxima, low angle first, 10 to 90 degrees two-theta:
| d (Å) | 2θ/deg | Rel. int. | index |
| --- | --- | --- | --- |
| 3.819 | 23.29 | 40 | 0 4 0 |
| 3.257 | 27.39 | 80 | 0 2 3 |
| 3.118 | 28.63 | 51 | 0 4 2 |
| 2.819 | 31.74 | 100 | 1 3 0 |
| 2.728 | 32.83 | 26 | 1 3 1 |
| 2.478 | 36.25 | 24 | 0 6 1 |
| 2.435 | 36.92 | 55 | 1 1 3 |
| 2.091 | 43.27 | 34 | 1 5 2 |
| 2.079 | 43.54 | 31 | 0 2 5 |
| 1.800 | 50.71 | 23 | 0 8 2 |
| 1.715 | 53.44 | 25 | 1 3 5 |
| 1.398 | 66.93 | 26 | 1 7 5 |

Structure:
abc: 3.386 15.275 10.801
angles: 90.00 90.00 90.00
Space group Cmc2_1 (No. 36)
Asymmetric unit:
Ba: 0.000 0.118 0.000 x4
Ba: 0.000 0.129 0.601 x4
V: 0.000 0.215 0.316 x4
Zn: 0.000 0.439 0.757 x4
O: 0.000 0.083 0.344 x4
O: 0.000 0.285 0.932 x4
O: 0.000 0.303 0.693 x4
O: 0.000 0.332 0.305 x4
O: 0.000 0.496 0.599 x4